1.
This entry pairs a crystal structure of K2NpS4 with its simulated X-ray powder pattern. Radiation: a wavelength of 1.5418 Å. Structure: DFT lattice parameters and positions (PBE).
Intensities are scaled so that the largest is 100.

Principal peaks in the range 15° ≤ 2θ ≤ 90°, by angle:
2θ/deg, d (Å), I (rel.)
22.62, 3.931, 25
23.86, 3.729, 60
25.45, 3.501, 100
25.82, 3.450, 23
31.50, 2.840, 24
34.59, 2.593, 59
41.49, 2.177, 29
42.70, 2.117, 35
43.42, 2.084, 37
46.35, 1.959, 25

Cell lengths 7.8610, 12.7068, 4.1088 Å; angles 90.00, 90.00, 90.00 degrees
Sites, in units of the cell vectors:
K  0.0759  0.1782  0.0000
K  0.4241  0.6782  0.0000
K  0.5759  0.3218  0.0000
K  0.9241  0.8218  0.0000
Np  0.0000  0.5000  0.5000
Np  0.5000  0.0000  0.5000
S  0.1203  0.6768  0.5000
S  0.1951  0.4506  0.0000
S  0.3049  0.9506  0.0000
S  0.3797  0.1768  0.5000
S  0.6203  0.8232  0.5000
S  0.6951  0.0494  0.0000
S  0.8049  0.5494  0.0000
S  0.8797  0.3232  0.5000

2.
This entry pairs a crystal structure of PmCd9Pt2 with its simulated X-ray powder pattern. Radiation: a wavelength of 1.5418 Å. Structure: DFT lattice parameters and positions (PBE).
Intensities are scaled so that the largest is 100.

Principal peaks in the range 15° ≤ 2θ ≤ 90°, by angle:
2θ/deg, d (Å), I (rel.)
29.92, 2.987, 45
33.90, 2.644, 87
34.19, 2.622, 56
36.56, 2.458, 38
39.77, 2.267, 33
40.27, 2.240, 100
41.97, 2.153, 57
53.39, 1.716, 19
61.04, 1.518, 26
72.03, 1.311, 20

Cell lengths 9.1094, 9.1094, 9.1094 Å; angles 99.86, 99.86, 131.10 degrees
Sites, in units of the cell vectors:
Pm  0.3750  0.6250  0.7500
Pm  0.6250  0.3750  0.2500
Cd  0.1250  0.8750  0.2500
Cd  0.1262  0.5570  0.3283
Cd  0.1262  0.7980  0.5692
Cd  0.2020  0.2713  0.3283
Cd  0.2020  0.8738  0.9308
Cd  0.2713  0.2020  0.8283
Cd  0.2713  0.4430  0.0692
Cd  0.4430  0.2713  0.5692
Cd  0.4430  0.8738  0.1717
Cd  0.5570  0.1262  0.8283
Cd  0.5570  0.7287  0.4308
Cd  0.7287  0.5570  0.9308
Cd  0.7287  0.7980  0.1717
Cd  0.7980  0.1262  0.0692
Cd  0.7980  0.7287  0.6717
Cd  0.8738  0.2020  0.4308
Cd  0.8738  0.4430  0.6717
Cd  0.8750  0.1250  0.7500
Pt  0.0000  0.0000  0.0000
Pt  0.0000  0.0000  0.5000
Pt  0.0000  0.5000  0.0000
Pt  0.5000  0.0000  0.5000